No. 1
# Li2UV3N6
Theoretical powder diffractogram, Cu Kα (weighted mean of Kα1 and Kα2). Input: DFT lattice parameters and positions (PBE).

Peak list (8 most intense, 5° ≤ 2θ ≤ 70°, in order of rising 2θ)
- 19.95°, I 50
- 20.79°, I 100
- 23.50°, I 93
- 26.56°, I 74
- 30.50°, I 49
- 37.15°, I 49
- 42.13°, I 77
- 43.25°, I 37

Structure:
```
Li2UV3N6
1.0
2.5445 -4.4503 0.0000
2.5445 4.4503 0.0000
-1.5497 0.0000 5.1097
Li U V N
2 1 3 6
direct
0.1655 0.8345 0.0000
0.8345 0.1655 0.0000
0.5000 0.5000 0.0000
0.0000 0.0000 0.5000
0.3130 0.6870 0.5000
0.6870 0.3130 0.5000
0.0729 0.4070 0.7298
0.2637 0.2637 0.2744
0.4070 0.0729 0.7298
0.5930 0.9271 0.2702
0.7363 0.7363 0.7256
0.9271 0.5930 0.2702
```

***

No. 2
# LiZrU2N5
Theoretical powder diffractogram, Cu Kα (weighted mean of Kα1 and Kα2). Input: DFT lattice parameters and positions (PBE).

Peak list (8 most intense, 5° ≤ 2θ ≤ 70°, in order of rising 2θ)
- 17.33°, I 44
- 27.84°, I 100
- 29.68°, I 87
- 32.99°, I 64
- 34.27°, I 38
- 38.54°, I 72
- 48.31°, I 29
- 64.20°, I 28

Structure:
```
LiZrU2N5
1.0
1.6560 -6.4040 0.0000
1.6560 6.4040 0.0000
0.0000 0.0000 10.2319
Li Zr U N
2 2 4 10
direct
0.0101 0.9899 0.5000
0.9899 0.0101 0.0000
0.3049 0.6951 0.0174
0.6951 0.3049 0.5174
0.3678 0.6322 0.3125
0.3883 0.6117 0.6921
0.6117 0.3883 0.1921
0.6322 0.3678 0.8125
0.0137 0.9863 0.8066
0.1406 0.8594 0.0380
0.1967 0.8033 0.3717
0.2110 0.7890 0.6780
0.4615 0.5385 0.1025
0.5385 0.4615 0.6025
0.7890 0.2110 0.1780
0.8033 0.1967 0.8717
0.8594 0.1406 0.5380
0.9863 0.0137 0.3066
```